(1)
This entry pairs a crystal structure of Rb2MgCdHg6 with its theoretical powder X-ray diffraction pattern. Radiation: Cu Kα X-rays. Structure: a cell relaxed with PBE.
Intensities are scaled so that the largest is 100.

Atomic structure:
```
10
Lattice="-3.9995 4.0225 5.6705 3.9995 -4.0225 5.6705 3.9995 4.0225 -5.6705" Properties=species:S:1:pos:R:3 pbc="T T T"
Rb 0.0000 0.0000 2.8360
Rb 0.0000 0.0000 8.5050
Mg 0.0000 4.0225 0.0000
Cd 3.9995 0.0000 0.0000
Hg 1.9693 2.0417 0.0000
Hg 2.0302 -1.9809 5.6705
Hg 3.9995 0.0000 2.8771
Hg 0.0000 4.0225 2.7934
Hg 1.9693 6.0034 0.0000
Hg 2.0302 1.9809 5.6705
```

The 10 most intense peaks (5 to 70 degrees two-theta), low angle first:
| d [Å] | 2theta | Rel. int. |
| --- | --- | --- |
| 5.672 | 15.62 | 31 |
| 3.281 | 27.18 | 64 |
| 3.268 | 27.29 | 64 |
| 2.836 | 31.55 | 100 |
| 2.538 | 35.37 | 15 |
| 2.005 | 45.22 | 50 |
| 1.712 | 53.52 | 30 |
| 1.708 | 53.66 | 30 |
| 1.640 | 56.06 | 13 |
| 1.634 | 56.30 | 13 |


(2)
This entry pairs a crystal structure of Mg5CdHg2Rh2 with its theoretical powder X-ray diffraction pattern. Radiation: Cu Kα X-rays. Structure: a cell relaxed with PBE.
Intensities are scaled so that the largest is 100.

Atomic structure:
```
20
Lattice="9.9558 0.0000 0.0000 0.0000 9.9558 0.0000 0.0000 0.0000 3.9995" Properties=species:S:1:pos:R:3 pbc="T T T"
Mg 0.0000 4.9779 0.0000
Mg 0.8236 2.0759 0.0000
Mg 2.0759 9.1321 0.0000
Mg 2.9019 4.1543 0.0000
Mg 4.1543 7.0538 0.0000
Mg 4.9779 0.0000 0.0000
Mg 5.8015 2.9019 0.0000
Mg 7.0538 5.8015 0.0000
Mg 7.8798 0.8236 0.0000
Mg 9.1321 7.8798 0.0000
Cd 0.0000 0.0000 1.9997
Cd 4.9779 4.9779 1.9997
Hg 1.7215 6.6994 1.9997
Hg 3.2564 1.7215 1.9997
Hg 6.6994 8.2342 1.9997
Hg 8.2342 3.2564 1.9997
Rh 1.1971 3.7808 1.9997
Rh 3.7808 8.7587 1.9997
Rh 6.1750 1.1971 1.9997
Rh 8.7587 6.1750 1.9997
```

The 10 most intense peaks (5 to 70 degrees two-theta), low angle first:
| d [Å] | 2theta | Rel. int. |
| --- | --- | --- |
| 3.999 | 22.23 | 74 |
| 3.148 | 28.35 | 54 |
| 2.975 | 30.03 | 25 |
| 2.642 | 33.93 | 20 |
| 2.474 | 36.32 | 100 |
| 2.415 | 37.24 | 39 |
| 2.272 | 39.66 | 25 |
| 2.067 | 43.79 | 23 |
| 2.000 | 45.35 | 23 |
| 1.540 | 60.07 | 19 |


(3)
This entry pairs a crystal structure of MgCdHgRh with its theoretical powder X-ray diffraction pattern. Radiation: Cu Kα X-rays. Structure: a cell relaxed with PBE.
Intensities are scaled so that the largest is 100.

Atomic structure:
```
4
Lattice="3.2749 0.0000 0.0000 0.0000 3.2749 0.0000 0.0000 0.0000 6.9977" Properties=species:S:1:pos:R:3 pbc="T T T"
Mg 0.0000 0.0000 0.0000
Cd 0.0000 0.0000 2.9988
Hg 1.6374 1.6374 5.0997
Rh 1.6374 1.6374 1.3558
```

The 10 most intense peaks (5 to 70 degrees two-theta), low angle first:
| d [Å] | 2theta | Rel. int. |
| --- | --- | --- |
| 6.998 | 12.65 | 11 |
| 3.499 | 25.46 | 12 |
| 3.275 | 27.23 | 17 |
| 2.966 | 30.13 | 29 |
| 2.391 | 37.62 | 100 |
| 2.316 | 38.89 | 50 |
| 1.643 | 55.95 | 10 |
| 1.637 | 56.17 | 17 |
| 1.396 | 67.05 | 14 |
| 1.351 | 69.59 | 32 |